1.
Diffraction record for La2HgGe. The powder X-ray diffraction pattern is theoretical, not measured: it uses a crystal structure in Alexandria, relaxed with PBE and CuKα.
No peak broadening, texture or thermal motion is included.

Most intense lines, 2θ from 10° to 90°, low angle first:
29.04°, d = 3.075 Å, I 98; 29.24°, d = 3.054 Å, I 100; 30.65°, d = 2.917 Å, I 52; 36.27°, d = 2.477 Å, I 83; 36.78°, d = 2.444 Å, I 76; 36.92°, d = 2.434 Å, I 52; 39.45°, d = 2.284 Å, I 56; 40.84°, d = 2.209 Å, I 51; 51.31°, d = 1.781 Å, I 25; 58.08°, d = 1.588 Å, I 36

Cell lengths 6.3080, 4.4189, 8.9135 Å; angles 90.00, 108.52, 90.00 degrees
Space group P2_1/m (No. 11)
Unique sites:
La1 0.1987 0.2500 0.4255 [2 per cell]
La2 0.2839 0.7500 0.0664 [2 per cell]
Hg1 0.3673 0.7500 0.7102 [2 per cell]
Ge1 0.1210 0.2500 0.7930 [2 per cell]



2.
Diffraction record for La8Si3SBr4. The powder X-ray diffraction pattern is theoretical, not measured: it uses a crystal structure in Alexandria, relaxed with PBE and CuKα.
No peak broadening, texture or thermal motion is included.

Most intense lines, 2θ from 10° to 90°, low angle first:
25.13°, d = 3.543 Å, I 25; 28.75°, d = 3.106 Å, I 100; 31.20°, d = 2.866 Å, I 15; 36.18°, d = 2.483 Å, I 7; 40.29°, d = 2.238 Å, I 21; 40.37°, d = 2.234 Å, I 10; 41.88°, d = 2.157 Å, I 38; 51.55°, d = 1.773 Å, I 13; 59.50°, d = 1.554 Å, I 7; 68.52°, d = 1.370 Å, I 11

Cell lengths 8.6243, 8.6264, 8.9507 Å; angles 61.24, 61.37, 60.08 degrees
Space group P-1 (No. 2)
Unique sites:
La1 0.2351 0.2400 0.2894 [2 per cell]
La2 0.2360 0.7363 0.2886 [2 per cell]
La3 0.2610 0.2646 0.7101 [2 per cell]
La4 0.2627 0.7609 0.7150 [2 per cell]
Si1 0.0000 0.0000 0.5000 [1 per cell]
Si2 0.5000 0.0000 0.5000 [1 per cell]
Si3 0.5000 0.5000 0.5000 [1 per cell]
S1 0.0000 0.5000 0.5000 [1 per cell]
Br1 0.0000 0.0000 0.0000 [1 per cell]
Br2 0.0000 0.5000 0.0000 [1 per cell]
Br3 0.5000 0.0000 0.0000 [1 per cell]
Br4 0.5000 0.5000 0.0000 [1 per cell]



3.
Diffraction record for CaGa4AgPd2. The powder X-ray diffraction pattern is theoretical, not measured: it uses a crystal structure in Alexandria, relaxed with PBE and CuKα.
No peak broadening, texture or thermal motion is included.

Most intense lines, 2θ from 10° to 90°, low angle first:
19.44°, d = 4.567 Å, I 14; 35.46°, d = 2.532 Å, I 99; 41.61°, d = 2.170 Å, I 100; 42.83°, d = 2.112 Å, I 13; 43.59°, d = 2.076 Å, I 39; 55.79°, d = 1.648 Å, I 26; 61.84°, d = 1.500 Å, I 13; 71.95°, d = 1.312 Å, I 23; 75.93°, d = 1.253 Å, I 16; 77.31°, d = 1.234 Å, I 14

Cell lengths 4.3409, 4.3409, 27.3998 Å; angles 90.00, 90.00, 120.00 degrees
Space group R-3m (No. 166, hexagonal axes)
Unique sites:
Ca1 0.0000 0.0000 0.0000 [3 per cell]
Ga1 0.0000 0.0000 0.1237 [6 per cell]
Ga2 0.0000 0.0000 0.3991 [6 per cell]
Ag1 0.0000 0.0000 0.5000 [3 per cell]
Pd1 0.0000 0.0000 0.2374 [6 per cell]



4.
Diffraction record for LaInGe3. The powder X-ray diffraction pattern is theoretical, not measured: it uses a crystal structure in Alexandria, relaxed with PBE and CuKα.
No peak broadening, texture or thermal motion is included.

Most intense lines, 2θ from 10° to 90°, low angle first:
24.19°, d = 3.680 Å, I 69; 29.73°, d = 3.005 Å, I 52; 34.47°, d = 2.602 Å, I 100; 42.55°, d = 2.125 Å, I 31; 49.54°, d = 1.840 Å, I 71; 55.87°, d = 1.646 Å, I 14; 58.85°, d = 1.569 Å, I 22; 61.75°, d = 1.502 Å, I 24; 67.32°, d = 1.391 Å, I 15; 82.98°, d = 1.164 Å, I 31

Cell lengths 5.2040, 5.2040, 5.2040 Å; angles 90.00, 90.00, 90.00 degrees
Space group Pm-3m (No. 221)
Unique sites:
La1 0.0000 0.0000 0.0000 [1 per cell]
In1 0.5000 0.5000 0.5000 [1 per cell]
Ge1 0.0000 0.5000 0.5000 [3 per cell]



Please write out number 3 again, unchanged.
Diffraction record for CaGa4AgPd2. The powder X-ray diffraction pattern is theoretical, not measured: it uses a crystal structure in Alexandria, relaxed with PBE and CuKα.
No peak broadening, texture or thermal motion is included.

Most intense lines, 2θ from 10° to 90°, low angle first:
19.44°, d = 4.567 Å, I 14; 35.46°, d = 2.532 Å, I 99; 41.61°, d = 2.170 Å, I 100; 42.83°, d = 2.112 Å, I 13; 43.59°, d = 2.076 Å, I 39; 55.79°, d = 1.648 Å, I 26; 61.84°, d = 1.500 Å, I 13; 71.95°, d = 1.312 Å, I 23; 75.93°, d = 1.253 Å, I 16; 77.31°, d = 1.234 Å, I 14

Cell lengths 4.3409, 4.3409, 27.3998 Å; angles 90.00, 90.00, 120.00 degrees
Space group R-3m (No. 166, hexagonal axes)
Unique sites:
Ca1 0.0000 0.0000 0.0000 [3 per cell]
Ga1 0.0000 0.0000 0.1237 [6 per cell]
Ga2 0.0000 0.0000 0.3991 [6 per cell]
Ag1 0.0000 0.0000 0.5000 [3 per cell]
Pd1 0.0000 0.0000 0.2374 [6 per cell]



- Which formula does entry 1 have?
  La2HgGe